Computed powder XRD pattern of La5Cd2Pb5 for CuKα, from a GGA-PBE-relaxed structure.
No peak broadening, texture or thermal motion is included.

Structural model:
```
12
Lattice="8.579 -2.456 0.000 8.579 2.456 0.000 -7.147 0.000 8.969" Properties=species:S:1:pos:R:3 pbc="T T T"
La 0.000 0.000 0.000
La -1.197 0.000 3.721
La -2.643 0.000 7.404
La 12.655 0.000 1.565
La 11.209 0.000 5.248
Cd 0.715 0.000 6.866
Cd 9.296 0.000 2.104
Pb 2.131 0.000 2.975
Pb 6.420 0.000 1.189
Pb 5.006 0.000 4.485
Pb 3.591 0.000 7.780
Pb 7.880 0.000 5.995
```

Peak list (10 most intense, 2θ from 10° to 90°, by angle)
2θ (°)	d/Å	I (rel.)
29.64	3.014	72
30.09	2.970	36
30.64	2.918	21
31.99	2.797	37
33.64	2.664	100
34.78	2.580	31
36.59	2.456	51
48.07	1.893	20
51.36	1.779	21
62.59	1.484	24